The following is a simulated powder diffractogram of Ba4Ti3PbO12. It was derived from the PBE geometry in Alexandria, using CuKα.
Peak positions follow from Bragg's law for the DFT cell and can differ from measured ones.

Most intense lines, 2θ from 15° to 90°, low angle first:
| two_theta | I/Imax |
| --- | --- |
| 30.8 | 100 |
| 44.1 | 32 |
| 54.7 | 39 |
| 64.1 | 19 |
| 72.7 | 17 |
| 89.1 | 22 |

Cell and atoms:
Cell: 8.221 8.221 8.221 Å, 90.00 90.00 90.00°
Space group Im-3m (No. 229)
Unique sites:
Ba: 0.250 0.250 0.250 [8 per cell]
Ti: 0.000 0.000 0.500 [6 per cell]
Pb: 0.000 0.000 0.000 [2 per cell]
O: 0.000 0.000 0.263 [12 per cell]
O: 0.000 0.250 0.500 [12 per cell]